LiFeF4: theoretical powder X-ray diffraction pattern (Cu Kα X-rays), based on a cell relaxed with GGA+U.
Peak positions follow from Bragg's law for the DFT cell and can differ from measured ones.

Main lines, by angle (2θ from 10° to 90°):
- 2θ = 16.6°, I = 100
- 2θ = 19.8°, I = 42
- 2θ = 21.5°, I = 47
- 2θ = 25.9°, I = 29
- 2θ = 26.9°, I = 58
- 2θ = 36.4°, I = 18
- 2θ = 41.1°, I = 26
- 2θ = 50.0°, I = 23

Structure:
```
data_LiFeF4
_chemical_formula_sum 'Li8 Fe8 F32'
_symmetry_space_group_name_H-M 'P b c a'
_symmetry_Int_Tables_number 61
_cell_length_a 7.5656
_cell_length_b 8.9662
_cell_length_c 10.6860
_cell_angle_alpha 90.00
_cell_angle_beta 90.00
_cell_angle_gamma 90.00
loop_
_symmetry_equiv_pos_as_xyz
'x,y,z'
'-x,-y,-z'
'-x+1/2,-y,z+1/2'
'x+1/2,y,-z+1/2'
'x+1/2,-y+1/2,-z'
'-x+1/2,y+1/2,z'
'-x,y+1/2,-z+1/2'
'x,-y+1/2,z+1/2'
loop_
_atom_site_label
_atom_site_fract_x
_atom_site_fract_y
_atom_site_fract_z
Li1 0.2085 0.1323 0.0658
Fe1 0.0832 0.0611 0.7413
F1 0.0575 0.2290 0.6419
F2 0.0647 0.6084 0.1415
F3 0.1556 0.5454 0.6862
F4 0.1725 0.0716 0.9032
```